Record 1
Theoretical powder diffractogram of Th8GaCo2 for Cu Ka, from a PBE-relaxed structure.
No peak broadening, texture or thermal motion is included.

Most intense lines, 10° ≤ 2θ ≤ 90°, sorted by position:
2θ/deg, I_rel, hkl
27.38, 279, 2 2 -1
31.05, 770, 2 0 1
31.39, 1000, 0 4 1
33.42, 492, 1 1 -2
33.78, 740, 3 1 -1
34.55, 650, 2 4 0
37.69, 244, 1 5 -1
53.35, 337, 2 4 2
56.52, 221, 4 4 -2
63.87, 216, 2 8 1

Atomic structure:
```
data_Th8GaCo2
_chemical_formula_sum 'Th16 Ga2 Co4'
_space_group_name_H-M_alt 'C 1 m 1'
_space_group_IT_number 8
_cell_length_a 8.393
_cell_length_b 13.519
_cell_length_c 5.485
_cell_angle_alpha 90.00
_cell_angle_beta 104.99
_cell_angle_gamma 90.00
loop_
_space_group_symop_operation_xyz
'x,y,z'
'x,-y,z'
'x+1/2,y+1/2,z'
'x+1/2,-y+1/2,z'
loop_
_atom_site_label
_atom_site_type_symbol
_atom_site_fract_x
_atom_site_fract_y
_atom_site_fract_z
_atom_site_occupancy
Th1 Th 0.000 0.000 0.000 1
Th2 Th 0.091 0.259 0.818 1
Th3 Th 0.222 0.000 0.625 1
Th4 Th 0.317 0.375 0.375 1
Th5 Th 0.414 0.121 0.230 1
Ga1 Ga 0.114 0.500 0.791 1
Co1 Co 0.161 0.197 0.379 1
```



Record 2
Theoretical powder diffractogram of KBi6O8 for Cu Ka, from a PBE-relaxed structure.
No peak broadening, texture or thermal motion is included.

Most intense lines, 10° ≤ 2θ ≤ 90°, sorted by position:
2θ/deg, I_rel, hkl
11.06, 239, 1 0 0
26.11, 489, 1 0 1
29.55, 1000, 2 1 0
30.60, 287, 2 -1 1
32.63, 246, 2 0 1
38.15, 369, 1 2 1
46.09, 191, 4 -2 1
47.55, 152, 3 1 1
52.43, 225, 1 4 0
57.60, 310, 3 -2 2

Atomic structure:
```
data_KBi6O8
_chemical_formula_sum 'K1 Bi6 O8'
_space_group_name_H-M_alt 'P -3'
_space_group_IT_number 147
_cell_length_a 9.2350
_cell_length_b 9.2350
_cell_length_c 3.7729
_cell_angle_alpha 90.00
_cell_angle_beta 90.00
_cell_angle_gamma 120.00
loop_
_space_group_symop_operation_xyz
'x,y,z'
'-x,-y,-z'
'-y,x-y,z'
'y,-x+y,-z'
'-x+y,-x,z'
'x-y,x,-z'
loop_
_atom_site_label
_atom_site_type_symbol
_atom_site_fract_x
_atom_site_fract_y
_atom_site_fract_z
_atom_site_occupancy
K1 K 0.0000 0.0000 0.0000 1
Bi1 Bi 0.1370 0.6987 0.7322 1
O1 O 0.0246 0.3048 0.7448 1
O2 O 0.3333 0.6667 0.3228 1
```